No. 1
Starting from a structure optimized by DFT (PBE), the X-ray diffraction stick pattern of Ce2Be4GaSi3 was simulated for Cu Kα X-rays.
Peak positions follow from Bragg's law for the DFT cell and can differ from measured ones.

Main lines, low angle first (10° ≤ 2θ ≤ 80°):
2θ/deg, I (rel.), hkl
18.70, 23, 0 0 2
24.17, 100, 1 0 1
31.67, 26, 1 1 0
36.22, 71, 1 0 3
37.03, 98, 1 1 2
45.40, 37, 2 0 0
52.08, 26, 2 1 1
53.44, 24, 1 0 5
59.41, 33, 2 1 3
78.30, 22, 3 1 2

Atomic structure:
```
data_Ce2Be4GaSi3
_chemical_formula_sum 'Ce2 Be4 Ga1 Si3'
_cell_length_a 3.996
_cell_length_b 3.996
_cell_length_c 9.490
_cell_angle_alpha 90.00
_cell_angle_beta 90.00
_cell_angle_gamma 90.00
_symmetry_space_group_name_H-M 'P -4 m 2'
_symmetry_Int_Tables_number 115
loop_
_symmetry_equiv_pos_as_xyz
'x,y,z'
'y,-x,-z'
'-x,-y,z'
'-y,x,-z'
'-x,y,z'
'-y,-x,-z'
'x,-y,z'
'y,x,-z'
loop_
_atom_site_label
_atom_site_type_symbol
_atom_site_fract_x
_atom_site_fract_y
_atom_site_fract_z
Ce1 Ce 0.000 0.500 0.245
Be1 Be 0.000 0.000 0.000
Be2 Be 0.000 0.500 0.633
Be3 Be 0.500 0.500 0.000
Ga1 Ga 0.000 0.000 0.500
Si1 Si 0.000 0.500 0.872
Si2 Si 0.500 0.500 0.500
```

---

No. 2
Starting from a structure optimized by DFT (PBE), the X-ray diffraction stick pattern of Ce2Be4Ge3Ru was simulated for Cu Kα X-rays.
Peak positions follow from Bragg's law for the DFT cell and can differ from measured ones.

Main lines, low angle first (10° ≤ 2θ ≤ 80°):
2θ/deg, I (rel.), hkl
24.09, 33, 1 0 1
31.68, 20, 1 1 0
33.02, 38, 1 1 1
35.67, 68, 1 0 3
36.80, 100, 1 1 2
45.41, 47, 2 0 0
52.32, 27, 1 0 5
59.04, 31, 2 1 3
71.74, 20, 2 1 5
78.18, 22, 3 1 2

Atomic structure:
```
data_Ce2Be4Ge3Ru
_chemical_formula_sum 'Ce2 Be4 Ge3 Ru1'
_cell_length_a 3.995
_cell_length_b 3.995
_cell_length_c 9.724
_cell_angle_alpha 90.00
_cell_angle_beta 90.00
_cell_angle_gamma 90.00
_symmetry_space_group_name_H-M 'P -4 m 2'
_symmetry_Int_Tables_number 115
loop_
_symmetry_equiv_pos_as_xyz
'x,y,z'
'y,-x,-z'
'-x,-y,z'
'-y,x,-z'
'-x,y,z'
'-y,-x,-z'
'x,-y,z'
'y,x,-z'
loop_
_atom_site_label
_atom_site_type_symbol
_atom_site_fract_x
_atom_site_fract_y
_atom_site_fract_z
Ce1 Ce 0.000 0.500 0.248
Be1 Be 0.000 0.000 0.500
Be2 Be 0.000 0.500 0.875
Be3 Be 0.500 0.500 0.500
Ge1 Ge 0.000 0.000 0.000
Ge2 Ge 0.000 0.500 0.631
Ru1 Ru 0.500 0.500 0.000
```

---

No. 3
Starting from a structure optimized by DFT (PBE), the X-ray diffraction stick pattern of Ce2Be4ZnGe3 was simulated for Cu Kα X-rays.
Peak positions follow from Bragg's law for the DFT cell and can differ from measured ones.

Main lines, low angle first (10° ≤ 2θ ≤ 80°):
2θ/deg, I (rel.), hkl
23.85, 37, 1 0 1
31.26, 30, 1 1 0
32.65, 37, 1 1 1
35.71, 77, 1 0 3
36.53, 100, 1 1 2
44.79, 50, 2 0 0
52.64, 29, 1 0 5
58.56, 36, 2 1 3
71.55, 23, 2 1 5
77.12, 22, 3 1 2

Atomic structure:
```
data_Ce2Be4ZnGe3
_chemical_formula_sum 'Ce2 Be4 Zn1 Ge3'
_cell_length_a 4.047
_cell_length_b 4.047
_cell_length_c 9.629
_cell_angle_alpha 90.00
_cell_angle_beta 90.00
_cell_angle_gamma 90.00
_symmetry_space_group_name_H-M 'P -4 m 2'
_symmetry_Int_Tables_number 115
loop_
_symmetry_equiv_pos_as_xyz
'x,y,z'
'y,-x,-z'
'-x,-y,z'
'-y,x,-z'
'-x,y,z'
'-y,-x,-z'
'x,-y,z'
'y,x,-z'
loop_
_atom_site_label
_atom_site_type_symbol
_atom_site_fract_x
_atom_site_fract_y
_atom_site_fract_z
Ce1 Ce 0.000 0.500 0.247
Be1 Be 0.000 0.000 0.000
Be2 Be 0.000 0.500 0.631
Be3 Be 0.500 0.500 0.000
Zn1 Zn 0.000 0.000 0.500
Ge1 Ge 0.000 0.500 0.870
Ge2 Ge 0.500 0.500 0.500
```

---

No. 4
Starting from a structure optimized by DFT (PBE), the X-ray diffraction stick pattern of CeBe3H9 was simulated for Cu Kα X-rays.
Peak positions follow from Bragg's law for the DFT cell and can differ from measured ones.

Main lines, low angle first (10° ≤ 2θ ≤ 80°):
2θ/deg, I (rel.), hkl
14.46, 41, 1 1 0
17.54, 57, 0 2 0
19.61, 100, 1 1 1
26.54, 27, 0 0 2
26.69, 36, 2 0 1
31.94, 57, 0 2 2
32.12, 40, 2 2 1
36.11, 19, 3 1 0
44.94, 26, 0 4 2
45.37, 19, 3 1 2

Atomic structure:
```
data_CeBe3H9
_chemical_formula_sum 'Ce4 Be12 H36'
_cell_length_a 7.699
_cell_length_b 10.112
_cell_length_c 6.717
_cell_angle_alpha 90.00
_cell_angle_beta 90.00
_cell_angle_gamma 90.00
_symmetry_space_group_name_H-M 'C 2 2 21'
_symmetry_Int_Tables_number 20
loop_
_symmetry_equiv_pos_as_xyz
'x,y,z'
'-x,-y,z+1/2'
'x,-y,-z'
'-x,y,-z+1/2'
'x+1/2,y+1/2,z'
'-x+1/2,-y+1/2,z+1/2'
'x+1/2,-y+1/2,-z'
'-x+1/2,y+1/2,-z+1/2'
loop_
_atom_site_label
_atom_site_type_symbol
_atom_site_fract_x
_atom_site_fract_y
_atom_site_fract_z
Ce1 Ce 0.157 0.000 0.000
Be1 Be 0.023 0.334 0.060
Be2 Be 0.242 0.000 0.500
H1 H 0.000 0.404 0.250
H2 H 0.052 0.197 0.071
H3 H 0.116 0.025 0.656
H4 H 0.125 0.358 0.555
H5 H 0.169 0.384 0.945
```

---

No. 5
Starting from a structure optimized by DFT (PBE), the X-ray diffraction stick pattern of CeBeH4 was simulated for Cu Kα X-rays.
Peak positions follow from Bragg's law for the DFT cell and can differ from measured ones.

Main lines, low angle first (10° ≤ 2θ ≤ 80°):
2θ/deg, I (rel.), hkl
24.23, 100, 1 0 1
26.36, 81, 1 1 0
28.48, 42, 2 0 0
29.72, 72, 0 1 1
41.63, 57, 2 1 1
47.95, 16, 3 0 1
48.34, 34, 1 1 2
49.64, 18, 2 0 2
51.89, 26, 1 2 1
73.46, 16, 4 0 2

Atomic structure:
```
data_CeBeH4
_chemical_formula_sum 'Ce2 Be2 H8'
_cell_length_a 6.267
_cell_length_b 4.016
_cell_length_c 4.534
_cell_angle_alpha 90.00
_cell_angle_beta 90.00
_cell_angle_gamma 90.00
_symmetry_space_group_name_H-M 'P m n 21'
_symmetry_Int_Tables_number 31
loop_
_symmetry_equiv_pos_as_xyz
'x,y,z'
'-x+1/2,-y,z+1/2'
'-x,y,z'
'x+1/2,-y,z+1/2'
loop_
_atom_site_label
_atom_site_type_symbol
_atom_site_fract_x
_atom_site_fract_y
_atom_site_fract_z
Ce1 Ce 0.000 0.241 0.000
Be1 Be 0.000 0.787 0.522
H1 H 0.000 0.151 0.505
H2 H 0.000 0.727 0.219
H3 H 0.170 0.711 0.736
```

---

No. 6
Starting from a structure optimized by DFT (PBE), the X-ray diffraction stick pattern of LiCeBeH6 was simulated for Cu Kα X-rays.
Peak positions follow from Bragg's law for the DFT cell and can differ from measured ones.

Main lines, low angle first (10° ≤ 2θ ≤ 80°):
2θ/deg, I (rel.), hkl
20.70, 38, 0 0 1
23.95, 83, 1 0 0
31.86, 100, 1 0 1
42.12, 32, 1 1 0
47.38, 26, 1 1 1
49.03, 40, 2 0 0
53.77, 23, 2 0 1
61.08, 17, 1 1 2
66.59, 20, 2 1 0
70.56, 30, 1 0 3

Atomic structure:
```
data_LiCeBeH6
_chemical_formula_sum 'Li1 Ce1 Be1 H6'
_cell_length_a 4.2905
_cell_length_b 4.2905
_cell_length_c 4.2913
_cell_angle_alpha 90.00
_cell_angle_beta 90.00
_cell_angle_gamma 120.00
_symmetry_space_group_name_H-M 'P -6 m 2'
_symmetry_Int_Tables_number 187
_symmetry_space_group_name_Hall 'P -6 2'
loop_
_atom_site_label
_atom_site_type_symbol
_atom_site_fract_x
_atom_site_fract_y
_atom_site_fract_z
Li1 Li 0.0000 0.0000 0.0000
Ce1 Ce 0.3333 0.6667 0.5000
Be1 Be 0.6667 0.3333 0.0000
H1 H 0.3557 0.1779 0.2638
```